The following is a theoretical X-ray powder pattern of K3LiBi4. It was derived from a cell relaxed with PBE, using CuKα.
Kinematic intensities with the Lorentz-polarization factor, no thermal factor.

Crystal structure
```
data_K3LiBi4
_symmetry_space_group_name_H-M 'P m m n'
_symmetry_Int_Tables_number 59
_cell_length_a 7.0083
_cell_length_b 12.7506
_cell_length_c 6.9119
_cell_angle_alpha 90.00
_cell_angle_beta 90.00
_cell_angle_gamma 90.00
loop_
_symmetry_equiv_pos_as_xyz
'x,y,z'
'-x,-y,-z'
'-x+1/2,-y+1/2,z'
'x+1/2,y+1/2,-z'
'x+1/2,-y,-z'
'-x+1/2,y,z'
'-x,y+1/2,-z'
'x,-y+1/2,z'
loop_
_atom_site_label
_atom_site_type_symbol
_atom_site_fract_x
_atom_site_fract_y
_atom_site_fract_z
K1 K 0.2500 0.0009 0.1705
K2 K 0.2500 0.7500 0.5113
Li1 Li 0.2500 0.2500 0.3267
Bi1 Bi 0.0211 0.7500 0.0047
Bi2 Bi 0.2500 0.1233 0.6757
```

Peak list (12 most intense, 15° ≤ 2θ ≤ 90°, by angle)
18.03°, I = 71, hkl 1 0 1; 18.94°, I = 83, hkl 0 2 1; 24.52°, I = 94, hkl 1 3 0; 28.56°, I = 100, hkl 2 0 1; 29.41°, I = 98, hkl 0 2 2; 30.89°, I = 84, hkl 0 4 1; 31.89°, I = 100, hkl 2 2 1; 33.48°, I = 91, hkl 1 4 1; 36.52°, I = 65, hkl 2 0 2; 38.17°, I = 64, hkl 2 4 0; 38.42°, I = 57, hkl 0 4 2; 55.79°, I = 77, hkl 2 4 3